Starting from a crystal structure in OQMD, relaxed with PBE, the powder X-ray diffraction pattern of SmHo3Sb4 was simulated for Cu Kα, 1.54184 Å.

Atomic structure:
Unit cell a=6.2107 b=6.2107 c=6.2107 alpha=90.00 beta=90.00 gamma=90.00
Fractional coordinates of all 8 atoms:
1 Sm 0.0000 0.0000 0.0000
2 Ho 0.0000 0.5000 0.5000
3 Ho 0.5000 0.0000 0.5000
4 Ho 0.5000 0.5000 0.0000
5 Sb 0.0000 0.0000 0.5000
6 Sb 0.0000 0.5000 0.0000
7 Sb 0.5000 0.0000 0.0000
8 Sb 0.5000 0.5000 0.5000

Main lines, most intense first (15° ≤ 2θ ≤ 90°):
2theta	I/Imax
28.75	100
41.11	76
67.44	35
50.93	27
74.90	26
59.54	13
89.20	9
24.83	3
48.62	2
65.51	1

Starting from a crystal structure in OQMD, relaxed with PBE, the powder X-ray diffraction pattern of TbTmPbC was simulated for Cu Kα, 1.54184 Å.

Atomic structure:
Unit cell a=3.6225 b=3.6225 c=16.0731 alpha=90.00 beta=90.00 gamma=120.00
Fractional coordinates of all 8 atoms:
1 Tb 0.0000 0.0000 0.1684
2 Tb 0.0000 0.0000 0.8316
3 Tm 0.3333 0.6667 0.3332
4 Tm 0.3333 0.6667 0.6668
5 Pb 0.0000 0.0000 0.5000
6 Pb 0.3333 0.6667 0.0000
7 C 0.6667 0.3333 0.2531
8 C 0.6667 0.3333 0.7469

Main lines, most intense first (15° ≤ 2θ ≤ 90°):
2theta	I/Imax
33.09	100
28.45	23
61.83	22
50.38	21
33.45	21
59.57	19
61.61	17
44.47	16
83.50	15
81.71	8

Starting from a crystal structure in OQMD, relaxed with PBE, the powder X-ray diffraction pattern of TmIn2TeSe3 was simulated for Cu Kα, 1.54184 Å.

Atomic structure:
Unit cell a=6.0517 b=6.1205 c=7.6801 alpha=112.44 beta=112.59 gamma=90.53
Fractional coordinates of all 7 atoms:
1 Tm 0.0000 0.0000 0.0000
2 In 0.4925 0.5126 0.0096
3 In 0.7319 0.2566 0.5134
4 Te 0.9296 0.4510 0.2902
5 Se 0.1494 0.1242 0.7529
6 Se 0.3468 0.8522 0.2581
7 Se 0.5890 0.6579 0.7577

Main lines, most intense first (15° ≤ 2θ ≤ 90°):
2theta	I/Imax
24.75	100
25.15	69
24.87	57
41.04	55
41.79	25
40.33	25
40.76	25
42.20	20
49.52	13
49.60	13

Starting from a crystal structure in OQMD, relaxed with PBE, the powder X-ray diffraction pattern of Ba2Cd3InAu2 was simulated for Cu Kα, 1.54184 Å.

Atomic structure:
Unit cell a=6.0464 b=6.0464 c=8.2847 alpha=90.04 beta=90.04 gamma=46.52
Fractional coordinates of all 8 atoms:
1 Ba 0.0000 0.0000 0.0000
2 Ba 0.1342 0.1342 0.5061
3 Cd 0.4243 0.4243 0.6962
4 Cd 0.7082 0.7082 0.1909
5 Cd 0.7100 0.7100 0.8079
6 In 0.4213 0.4213 0.3085
7 Au 0.2897 0.2897 0.0021
8 Au 0.8471 0.8471 0.4983

Main lines, most intense first (15° ≤ 2θ ≤ 90°):
2theta	I/Imax
32.45	100
29.66	81
37.66	78
38.52	52
34.04	36
15.95	27
64.66	26
39.05	23
61.58	23
51.67	22